# 1
For Mg5Mn3, DFT lattice parameters and positions (GGA-PBE) gives the computed powder diffraction line list in this record (Cu Kα X-rays).
Peak positions follow from Bragg's law for the DFT cell and can differ from measured ones.

Structural model:
```
Mg5Mn3
1.0
4.677 0.000 0.000
0.003 6.028 0.000
0.012 0.036 10.632
Mg Mn
10 6
Direct
0.000 0.000 0.000
0.001 0.495 0.015
0.488 0.747 0.425
0.491 0.242 0.431
0.494 0.993 0.679
0.496 0.962 0.173
0.501 0.722 0.915
0.988 0.512 0.521
0.994 0.229 0.261
0.994 0.258 0.760
0.492 0.497 0.683
0.498 0.464 0.168
0.499 0.256 0.924
0.990 0.982 0.513
0.992 0.722 0.270
0.996 0.748 0.752
```

Peak list (6 most intense, 2θ from 10° to 80°, sorted by position)
| Position (°2θ) | d (Å) | I/Imax |
| --- | --- | --- |
| 24.08 | 3.695 | 26 |
| 34.15 | 2.626 | 26 |
| 38.49 | 2.339 | 68 |
| 38.98 | 2.311 | 100 |
| 39.35 | 2.290 | 87 |
| 39.44 | 2.285 | 92 |


# 2
For Mg5Mn4, DFT lattice parameters and positions (GGA-PBE) gives the computed powder diffraction line list in this record (Cu Kα X-rays).
Peak positions follow from Bragg's law for the DFT cell and can differ from measured ones.

Structural model:
```
Mg5Mn4
1.0
9.868 0.000 0.000
0.000 23.335 0.000
0.000 0.000 2.864
Mg Mn
20 16
Direct
0.106 0.132 0.000
0.115 0.600 0.500
0.125 0.254 0.500
0.157 0.373 0.000
0.232 0.999 0.000
0.268 0.499 0.000
0.343 0.873 0.000
0.375 0.754 0.500
0.385 0.100 0.500
0.394 0.632 0.000
0.606 0.368 0.000
0.615 0.900 0.500
0.625 0.246 0.500
0.657 0.127 0.000
0.732 0.501 0.000
0.768 0.001 0.000
0.843 0.627 0.000
0.875 0.746 0.500
0.885 0.400 0.500
0.894 0.868 0.000
0.000 0.000 0.500
0.000 0.500 0.000
0.116 0.911 0.500
0.120 0.803 0.500
0.127 0.708 0.000
0.373 0.208 0.000
0.380 0.303 0.500
0.384 0.411 0.500
0.500 0.000 0.000
0.500 0.500 0.500
0.616 0.589 0.500
0.620 0.697 0.500
0.627 0.792 0.000
0.873 0.292 0.000
0.880 0.197 0.500
0.884 0.089 0.500
```

Peak list (6 most intense, 2θ from 10° to 80°, sorted by position)
| Position (°2θ) | d (Å) | I/Imax |
| --- | --- | --- |
| 18.38 | 4.827 | 100 |
| 32.79 | 2.731 | 47 |
| 37.25 | 2.414 | 54 |
| 38.13 | 2.360 | 77 |
| 39.25 | 2.295 | 87 |
| 43.47 | 2.082 | 69 |


# 3
For Mg5Mn3, DFT lattice parameters and positions (GGA-PBE) gives the computed powder diffraction line list in this record (Cu Kα X-rays).
Peak positions follow from Bragg's law for the DFT cell and can differ from measured ones.

Structural model:
```
Mg5Mn3
1.0
4.825 0.000 0.000
-0.194 5.928 0.000
-0.186 -0.400 10.552
Mg Mn
10 6
Direct
0.233 0.088 0.194
0.246 0.356 0.958
0.247 0.358 0.451
0.258 0.619 0.714
0.266 0.121 0.698
0.734 0.879 0.302
0.742 0.381 0.286
0.753 0.642 0.549
0.754 0.644 0.042
0.767 0.912 0.806
0.243 0.614 0.204
0.246 0.860 0.450
0.260 0.861 0.958
0.740 0.139 0.042
0.754 0.140 0.550
0.757 0.386 0.796
```

Peak list (6 most intense, 2θ from 10° to 80°, sorted by position)
| Position (°2θ) | d (Å) | I/Imax |
| --- | --- | --- |
| 35.31 | 2.542 | 48 |
| 37.30 | 2.411 | 86 |
| 38.59 | 2.333 | 65 |
| 38.72 | 2.325 | 66 |
| 39.24 | 2.296 | 62 |
| 39.42 | 2.286 | 100 |


# 4
For Mg6MnMo, DFT lattice parameters and positions (GGA-PBE) gives the computed powder diffraction line list in this record (Cu Kα X-rays).
Peak positions follow from Bragg's law for the DFT cell and can differ from measured ones.

Structural model:
```
Mg6MnMo
1.0
4.879 0.000 0.000
0.000 2.970 5.379
0.000 -2.970 5.379
Mg Mn Mo
6 1 1
Direct
0.000 0.000 0.000
0.000 0.019 0.509
0.000 0.500 0.500
0.000 0.509 0.019
0.500 0.347 0.846
0.500 0.846 0.347
0.500 0.843 0.843
0.500 0.348 0.348
```

Peak list (6 most intense, 2θ from 10° to 80°, sorted by position)
| Position (°2θ) | d (Å) | I/Imax |
| --- | --- | --- |
| 16.48 | 5.379 | 40 |
| 18.18 | 4.879 | 27 |
| 34.50 | 2.600 | 39 |
| 36.84 | 2.440 | 40 |
| 38.21 | 2.355 | 60 |
| 39.27 | 2.294 | 100 |


# 5
For Mg14MnMo, DFT lattice parameters and positions (GGA-PBE) gives the computed powder diffraction line list in this record (Cu Kα X-rays).
Peak positions follow from Bragg's law for the DFT cell and can differ from measured ones.

Structural model:
```
Mg14MnMo
1.0
9.967 0.000 0.000
0.000 3.095 5.468
0.000 -3.095 5.468
Mg Mn Mo
14 1 1
Direct
0.000 0.000 0.000
0.000 0.001 0.502
0.000 0.500 0.500
0.000 0.502 0.001
0.255 0.163 0.163
0.257 0.661 0.661
0.263 0.174 0.668
0.263 0.668 0.174
0.500 0.000 0.502
0.500 0.502 0.000
0.737 0.174 0.668
0.737 0.668 0.174
0.743 0.661 0.661
0.745 0.163 0.163
0.500 0.000 0.000
0.500 0.505 0.505
```

Peak list (6 most intense, 2θ from 10° to 80°, sorted by position)
| Position (°2θ) | d (Å) | I/Imax |
| --- | --- | --- |
| 18.51 | 4.794 | 18 |
| 33.26 | 2.694 | 28 |
| 36.04 | 2.492 | 38 |
| 37.52 | 2.397 | 54 |
| 37.97 | 2.370 | 100 |
| 70.93 | 1.329 | 19 |


# 6
For Mg6MnMo, DFT lattice parameters and positions (GGA-PBE) gives the computed powder diffraction line list in this record (Cu Kα X-rays).
Peak positions follow from Bragg's law for the DFT cell and can differ from measured ones.

Structural model:
```
Mg6MnMo
1.0
4.773 0.000 0.000
0.000 2.989 5.441
0.000 -2.989 5.441
Mg Mn Mo
6 1 1
Direct
0.000 0.000 0.000
0.000 0.011 0.490
0.000 0.490 0.011
0.500 0.348 0.834
0.500 0.834 0.348
0.500 0.839 0.839
0.000 0.477 0.477
0.500 0.358 0.358
```

Peak list (6 most intense, 2θ from 10° to 80°, sorted by position)
| Position (°2θ) | d (Å) | I/Imax |
| --- | --- | --- |
| 16.29 | 5.441 | 34 |
| 16.92 | 5.239 | 80 |
| 34.23 | 2.619 | 51 |
| 37.69 | 2.386 | 48 |
| 38.07 | 2.364 | 84 |
| 39.23 | 2.296 | 100 |


# 7
For Mg14MnMo, DFT lattice parameters and positions (GGA-PBE) gives the computed powder diffraction line list in this record (Cu Kα X-rays).
Peak positions follow from Bragg's law for the DFT cell and can differ from measured ones.

Structural model:
```
Mg14MnMo
1.0
6.282 0.000 0.000
-3.141 5.440 0.000
0.000 0.000 9.886
Mg Mn Mo
14 1 1
Direct
0.000 0.000 0.249
0.000 0.000 0.751
0.015 0.508 0.246
0.015 0.508 0.754
0.335 0.167 0.500
0.335 0.168 0.000
0.492 0.508 0.246
0.492 0.508 0.754
0.492 0.985 0.246
0.492 0.985 0.754
0.832 0.168 0.000
0.832 0.665 0.000
0.833 0.167 0.500
0.833 0.665 0.500
0.333 0.667 0.500
0.333 0.667 0.000
```

Peak list (6 most intense, 2θ from 10° to 80°, sorted by position)
| Position (°2θ) | d (Å) | I/Imax |
| --- | --- | --- |
| 16.29 | 5.440 | 26 |
| 32.93 | 2.720 | 27 |
| 36.35 | 2.472 | 25 |
| 37.75 | 2.383 | 100 |
| 66.33 | 1.409 | 17 |
| 71.13 | 1.326 | 18 |


# 8
For MgMnMoS4, DFT lattice parameters and positions (GGA-PBE) gives the computed powder diffraction line list in this record (Cu Kα X-rays).
Peak positions follow from Bragg's law for the DFT cell and can differ from measured ones.

Structural model:
```
MgMnMoS4
1.0
-3.654 3.719 5.243
3.654 -3.719 5.243
3.654 3.719 -5.243
Mg Mn Mo S
2 2 2 8
Direct
0.380 0.130 0.250
0.620 0.870 0.750
0.000 0.000 0.500
0.000 0.500 0.000
0.000 0.500 0.500
0.500 0.500 0.000
0.213 0.737 0.477
0.240 0.263 0.977
0.243 0.265 0.522
0.243 0.721 0.978
0.757 0.279 0.022
0.757 0.735 0.478
0.760 0.737 0.023
0.787 0.263 0.523
```

Peak list (6 most intense, 2θ from 10° to 80°, sorted by position)
| Position (°2θ) | d (Å) | I/Imax |
| --- | --- | --- |
| 14.60 | 6.066 | 30 |
| 14.77 | 5.996 | 100 |
| 28.25 | 3.159 | 98 |
| 34.21 | 2.621 | 45 |
| 34.41 | 2.607 | 88 |
| 49.30 | 1.848 | 82 |